Entry 1:
BaNd2Ti3O10: simulated powder diffractogram (Cu Kα, 1.54184 Å), based on a GGA-PBE-relaxed structure.
Lines closer than 0.1° are merged.

Crystal structure
Lattice parameters (Å, degrees): 3.927 28.484 7.695 90.00 90.00 90.00
Space group Cmcm (No. 63)
Inequivalent atoms, fractional coordinates:
Ba 0.000 0.243 0.250 x4
Nd 0.000 0.073 0.250 x4
Nd 0.000 0.080 0.750 x4
Ti 0.000 0.354 0.505 x8
Ti 0.000 0.500 0.000 x4
O 0.000 0.000 0.000 x4
O 0.000 0.130 0.007 x8
O 0.000 0.293 0.547 x8
O 0.000 0.353 0.250 x4
O 0.000 0.378 0.750 x4
O 0.000 0.434 0.055 x8
O 0.000 0.482 0.750 x4

Top 10 peaks for 2θ = 5–70°, in order of rising 2θ:
- hkl 0 2 0, d 14.242, I = 37
- hkl 0 6 0, d 4.747, I = 36
- hkl 1 5 0, d 3.233, I = 24
- hkl 0 6 2, d 2.988, I = 100
- hkl 1 7 0, d 2.826, I = 44
- hkl 1 1 2, d 2.736, I = 55
- hkl 1 7 2, d 2.277, I = 30
- hkl 2 0 0, d 1.963, I = 26
- hkl 1 13 2, d 1.713, I = 28
- hkl 2 6 2, d 1.641, I = 28

Entry 2:
Np2PaFeN5: simulated powder diffractogram (Cu Kα, 1.54184 Å), based on a GGA-PBE-relaxed structure.
Lines closer than 0.1° are merged.

Crystal structure
Lattice parameters (Å, degrees): 6.129 6.129 11.011 90.00 90.00 90.00
Space group I4/mcm (No. 140)
Inequivalent atoms, fractional coordinates:
Np 0.150 0.350 0.000 x8
Pa 0.000 0.000 0.250 x4
Fe 0.000 0.500 0.250 x4
N 0.000 0.000 0.000 x4
N 0.165 0.335 0.358 x16

Top 10 peaks for 2θ = 5–70°, in order of rising 2θ:
- hkl 1 1 2, d 3.406, I = 82
- hkl 0 0 4, d 2.753, I = 64
- hkl 2 0 2, d 2.678, I = 78
- hkl 2 1 1, d 2.660, I = 100
- hkl 2 1 3, d 2.196, I = 82
- hkl 3 1 0, d 1.938, I = 40
- hkl 2 1 5, d 1.717, I = 34
- hkl 3 1 4, d 1.585, I = 35
- hkl 4 0 2, d 1.476, I = 32
- hkl 3 3 2, d 1.397, I = 22

> Which formula does entry 2 have?

Np2PaFeN5

Repeat the second record exactly.
Np2PaFeN5: simulated powder diffractogram (Cu Kα, 1.54184 Å), based on a GGA-PBE-relaxed structure.
Lines closer than 0.1° are merged.

Crystal structure
Lattice parameters (Å, degrees): 6.129 6.129 11.011 90.00 90.00 90.00
Space group I4/mcm (No. 140)
Inequivalent atoms, fractional coordinates:
Np 0.150 0.350 0.000 x8
Pa 0.000 0.000 0.250 x4
Fe 0.000 0.500 0.250 x4
N 0.000 0.000 0.000 x4
N 0.165 0.335 0.358 x16

Top 10 peaks for 2θ = 5–70°, in order of rising 2θ:
- hkl 1 1 2, d 3.406, I = 82
- hkl 0 0 4, d 2.753, I = 64
- hkl 2 0 2, d 2.678, I = 78
- hkl 2 1 1, d 2.660, I = 100
- hkl 2 1 3, d 2.196, I = 82
- hkl 3 1 0, d 1.938, I = 40
- hkl 2 1 5, d 1.717, I = 34
- hkl 3 1 4, d 1.585, I = 35
- hkl 4 0 2, d 1.476, I = 32
- hkl 3 3 2, d 1.397, I = 22